Diffraction record for Pm7Tl2Si2. The X-ray diffraction stick pattern is calculated, not measured: it uses the GGA-PBE geometry in Alexandria and Cu Kα, 1.54184 Å.

Cell and atoms:
a = 8.377 Å, b = 11.177 Å, c = 7.355 Å
α = 90.00°, β = 90.00°, γ = 90.00°
Space group Cmmm (No. 65)
Asymmetric unit:
1 Pm 0.000 0.000 0.000 [2 per cell]
2 Pm 0.000 0.500 0.244 [4 per cell]
3 Pm 0.250 0.250 0.267 [8 per cell]
4 Tl 0.177 0.000 0.500 [4 per cell]
5 Si 0.000 0.278 0.000 [4 per cell]

The 10 most intense peaks (2θ from 10° to 90°), by angle:
2θ/deg, I (rel.), hkl
24.5, 36.5, 2 0 1
26.6, 58.4, 2 2 0
27.7, 72.2, 1 1 2
29.1, 51.6, 0 2 2
32.0, 72.9, 0 4 0
35.3, 27.8, 3 1 1
35.9, 41.2, 1 3 2
36.3, 100.0, 2 2 2
50.2, 23.6, 4 0 2
60.2, 22.3, 0 4 4